Record 1
# PrZn2Au6
Calculated XRD peak list, Cu Kα. Input: the PBE geometry in Alexandria.
Intensities are scaled so that the largest is 100.

Cell and atoms:
```
data_PrZn2Au6
_symmetry_space_group_name_H-M 'P 1'
_symmetry_Int_Tables_number 1
_symmetry_space_group_name_Hall 'P 1'
_cell_length_a 5.663
_cell_length_b 5.663
_cell_length_c 7.223
_cell_angle_alpha 90.00
_cell_angle_beta 90.00
_cell_angle_gamma 120.00
loop_
_atom_site_label
_atom_site_type_symbol
_atom_site_fract_x
_atom_site_fract_y
_atom_site_fract_z
_atom_site_occupancy
Pr1 Pr 0.000 0.000 0.000 1
Zn1 Zn 0.333 0.667 0.500 1
Zn2 Zn 0.667 0.333 0.500 1
Au1 Au 0.000 0.500 0.207 1
Au2 Au 0.000 0.500 0.793 1
Au3 Au 0.500 0.000 0.207 1
Au4 Au 0.500 0.000 0.793 1
Au5 Au 0.500 0.500 0.207 1
Au6 Au 0.500 0.500 0.793 1
```

Main lines, low angle first (2θ = 10–80°):
- 2θ 12.25, rel. 27
- 2θ 18.09, rel. 37
- 2θ 24.65, rel. 30
- 2θ 30.75, rel. 33
- 2θ 36.64, rel. 100
- 2θ 38.78, rel. 31
- 2θ 40.48, rel. 37
- 2θ 44.67, rel. 66
- 2θ 65.98, rel. 25
- 2θ 76.54, rel. 29

=====

Record 2
# Mg2CoSnPb
Calculated XRD peak list, Cu Kα. Input: the PBE geometry in Alexandria.
Intensities are scaled so that the largest is 100.

Cell and atoms:
```
data_Mg2CoSnPb
_symmetry_space_group_name_H-M 'P 1'
_symmetry_Int_Tables_number 1
_symmetry_space_group_name_Hall 'P 1'
_cell_length_a 4.951
_cell_length_b 4.951
_cell_length_c 4.811
_cell_angle_alpha 90.00
_cell_angle_beta 90.00
_cell_angle_gamma 90.00
loop_
_atom_site_label
_atom_site_type_symbol
_atom_site_fract_x
_atom_site_fract_y
_atom_site_fract_z
_atom_site_occupancy
Mg1 Mg 0.000 0.500 0.000 1
Mg2 Mg 0.500 0.000 0.000 1
Co1 Co 0.000 0.000 0.000 1
Sn1 Sn 0.000 0.000 0.500 1
Pb1 Pb 0.500 0.500 0.500 1
```

Main lines, low angle first (2θ = 10–80°):
- 2θ 18.44, rel. 39
- 2θ 25.44, rel. 98
- 2θ 25.82, rel. 36
- 2θ 31.61, rel. 100
- 2θ 36.29, rel. 68
- 2θ 37.38, rel. 31
- 2θ 45.77, rel. 42
- 2θ 52.27, rel. 24
- 2θ 53.09, rel. 46
- 2θ 62.38, rel. 30

=====

Record 3
# MgHg4Se5
Calculated XRD peak list, Cu Kα. Input: the PBE geometry in Alexandria.
Intensities are scaled so that the largest is 100.

Cell and atoms:
```
data_MgHg4Se5
_symmetry_space_group_name_H-M 'P 1'
_symmetry_Int_Tables_number 1
_symmetry_space_group_name_Hall 'P 1'
_cell_length_a 4.395
_cell_length_b 4.395
_cell_length_c 35.798
_cell_angle_alpha 90.00
_cell_angle_beta 90.00
_cell_angle_gamma 120.00
loop_
_atom_site_label
_atom_site_type_symbol
_atom_site_fract_x
_atom_site_fract_y
_atom_site_fract_z
_atom_site_occupancy
Mg1 Mg 0.000 0.000 0.000 1
Mg2 Mg 0.000 0.000 0.194 1
Hg1 Hg 0.000 0.000 0.392 1
Hg2 Hg 0.000 0.000 0.596 1
Hg3 Hg 0.000 0.000 0.800 1
Hg4 Hg 0.333 0.667 0.095 1
Hg5 Hg 0.333 0.667 0.290 1
Hg6 Hg 0.333 0.667 0.494 1
Hg7 Hg 0.333 0.667 0.698 1
Hg8 Hg 0.333 0.667 0.901 1
Se1 Se 0.000 0.000 0.122 1
Se2 Se 0.000 0.000 0.316 1
Se3 Se 0.000 0.000 0.520 1
Se4 Se 0.000 0.000 0.724 1
Se5 Se 0.000 0.000 0.927 1
Se6 Se 0.333 0.667 0.020 1
Se7 Se 0.333 0.667 0.214 1
Se8 Se 0.333 0.667 0.418 1
Se9 Se 0.333 0.667 0.622 1
Se10 Se 0.333 0.667 0.825 1
```

Main lines, low angle first (2θ = 10–80°):
- 2θ 23.37, rel. 96
- 2θ 24.87, rel. 56
- 2θ 26.52, rel. 100
- 2θ 34.39, rel. 42
- 2θ 41.08, rel. 86
- 2θ 44.83, rel. 78
- 2θ 48.62, rel. 56
- 2θ 49.56, rel. 19
- 2θ 62.41, rel. 29
- 2θ 77.47, rel. 32

=====

Record 4
# AcLa15Er4
Calculated XRD peak list, Cu Kα. Input: the PBE geometry in Alexandria.
Intensities are scaled so that the largest is 100.

Cell and atoms:
```
data_AcLa15Er4
_symmetry_space_group_name_H-M 'P 1'
_symmetry_Int_Tables_number 1
_symmetry_space_group_name_Hall 'P 1'
_cell_length_a 5.230
_cell_length_b 5.230
_cell_length_c 26.215
_cell_angle_alpha 90.00
_cell_angle_beta 90.00
_cell_angle_gamma 90.00
loop_
_atom_site_label
_atom_site_type_symbol
_atom_site_fract_x
_atom_site_fract_y
_atom_site_fract_z
_atom_site_occupancy
Ac1 Ac 0.000 0.000 0.000 1
La1 La 0.000 0.500 0.105 1
La2 La 0.000 0.500 0.303 1
La3 La 0.000 0.500 0.500 1
La4 La 0.000 0.500 0.697 1
La5 La 0.000 0.500 0.895 1
La6 La 0.500 0.000 0.105 1
La7 La 0.500 0.000 0.303 1
La8 La 0.500 0.000 0.500 1
La9 La 0.500 0.000 0.697 1
La10 La 0.500 0.000 0.895 1
La11 La 0.500 0.500 0.000 1
La12 La 0.500 0.500 0.205 1
La13 La 0.500 0.500 0.401 1
La14 La 0.500 0.500 0.599 1
La15 La 0.500 0.500 0.795 1
Er1 Er 0.000 0.000 0.204 1
Er2 Er 0.000 0.000 0.401 1
Er3 Er 0.000 0.000 0.599 1
Er4 Er 0.000 0.000 0.796 1
```

Main lines, low angle first (2θ = 10–80°):
- 2θ 29.56, rel. 100
- 2θ 34.26, rel. 51
- 2θ 49.24, rel. 36
- 2θ 58.40, rel. 13
- 2θ 58.52, rel. 29
- 2θ 61.35, rel. 12
- 2θ 72.05, rel. 2
- 2θ 72.26, rel. 4
- 2θ 79.85, rel. 11
- 2θ 79.95, rel. 6

=====

Record 5
# Li6MnS4
Calculated XRD peak list, Cu Kα. Input: the PBE geometry in Alexandria.
Intensities are scaled so that the largest is 100.

Cell and atoms:
```
data_Li6MnS4
_symmetry_space_group_name_H-M 'P 1'
_symmetry_Int_Tables_number 1
_symmetry_space_group_name_Hall 'P 1'
_cell_length_a 8.041
_cell_length_b 8.041
_cell_length_c 5.798
_cell_angle_alpha 90.00
_cell_angle_beta 90.00
_cell_angle_gamma 90.00
loop_
_atom_site_label
_atom_site_type_symbol
_atom_site_fract_x
_atom_site_fract_y
_atom_site_fract_z
_atom_site_occupancy
Li1 Li 0.023 0.523 0.250 1
Li2 Li 0.023 0.977 0.250 1
Li3 Li 0.250 0.250 0.213 1
Li4 Li 0.250 0.250 0.713 1
Li5 Li 0.477 0.523 0.250 1
Li6 Li 0.477 0.977 0.250 1
Li7 Li 0.523 0.023 0.750 1
Li8 Li 0.523 0.477 0.750 1
Li9 Li 0.750 0.750 0.287 1
Li10 Li 0.750 0.750 0.787 1
Li11 Li 0.977 0.023 0.750 1
Li12 Li 0.977 0.477 0.750 1
Mn1 Mn 0.250 0.750 0.750 1
Mn2 Mn 0.750 0.250 0.250 1
S1 S 0.007 0.250 0.466 1
S2 S 0.250 0.007 0.966 1
S3 S 0.250 0.493 0.966 1
S4 S 0.493 0.250 0.466 1
S5 S 0.507 0.750 0.534 1
S6 S 0.750 0.507 0.034 1
S7 S 0.750 0.993 0.034 1
S8 S 0.993 0.750 0.534 1
```

Main lines, low angle first (2θ = 10–80°):
- 2θ 15.59, rel. 17
- 2θ 18.87, rel. 63
- 2θ 22.11, rel. 10
- 2θ 26.99, rel. 100
- 2θ 29.22, rel. 18
- 2θ 36.95, rel. 15
- 2θ 44.65, rel. 55
- 2θ 45.10, rel. 29
- 2θ 53.35, rel. 23
- 2θ 53.86, rel. 14

=====

Record 6
# LaCdGe2Pd5
Calculated XRD peak list, Cu Kα. Input: the PBE geometry in Alexandria.
Intensities are scaled so that the largest is 100.

Cell and atoms:
```
data_LaCdGe2Pd5
_symmetry_space_group_name_H-M 'P 1'
_symmetry_Int_Tables_number 1
_symmetry_space_group_name_Hall 'P 1'
_cell_length_a 4.388
_cell_length_b 4.388
_cell_length_c 8.749
_cell_angle_alpha 90.00
_cell_angle_beta 90.00
_cell_angle_gamma 90.00
loop_
_atom_site_label
_atom_site_type_symbol
_atom_site_fract_x
_atom_site_fract_y
_atom_site_fract_z
_atom_site_occupancy
La1 La 0.000 0.000 0.000 1
Cd1 Cd 0.000 0.000 0.500 1
Ge1 Ge 0.500 0.500 0.363 1
Ge2 Ge 0.500 0.500 0.637 1
Pd1 Pd 0.000 0.500 0.237 1
Pd2 Pd 0.000 0.500 0.763 1
Pd3 Pd 0.500 0.000 0.237 1
Pd4 Pd 0.500 0.000 0.763 1
Pd5 Pd 0.500 0.500 0.000 1
```

Main lines, low angle first (2θ = 10–80°):
- 2θ 28.82, rel. 9
- 2θ 35.47, rel. 100
- 2θ 41.15, rel. 50
- 2θ 41.28, rel. 11
- 2θ 42.54, rel. 14
- 2θ 59.60, rel. 16
- 2θ 59.70, rel. 14
- 2θ 71.31, rel. 25
- 2θ 71.49, rel. 14
- 2θ 75.07, rel. 7

=====

Record 7
# Ce5ErGe5
Calculated XRD peak list, Cu Kα. Input: the PBE geometry in Alexandria.
Intensities are scaled so that the largest is 100.

Cell and atoms:
```
data_Ce5ErGe5
_symmetry_space_group_name_H-M 'P 1'
_symmetry_Int_Tables_number 1
_symmetry_space_group_name_Hall 'P 1'
_cell_length_a 7.244
_cell_length_b 7.244
_cell_length_c 8.333
_cell_angle_alpha 106.67
_cell_angle_beta 106.67
_cell_angle_gamma 48.27
loop_
_atom_site_label
_atom_site_type_symbol
_atom_site_fract_x
_atom_site_fract_y
_atom_site_fract_z
_atom_site_occupancy
Ce1 Ce 0.000 0.000 0.000 1
Ce2 Ce 0.334 0.334 0.667 1
Ce3 Ce 0.335 0.335 0.167 1
Ce4 Ce 0.665 0.665 0.833 1
Ce5 Ce 0.666 0.666 0.333 1
Er1 Er 0.000 0.000 0.500 1
Ge1 Ge 0.167 0.167 0.836 1
Ge2 Ge 0.168 0.168 0.331 1
Ge3 Ge 0.500 0.500 0.500 1
Ge4 Ge 0.832 0.832 0.669 1
Ge5 Ge 0.833 0.833 0.164 1
```

Main lines, low angle first (2θ = 10–80°):
- 2θ 26.11, rel. 44
- 2θ 30.22, rel. 100
- 2θ 30.29, rel. 50
- 2θ 43.26, rel. 93
- 2θ 43.44, rel. 18
- 2θ 53.63, rel. 20
- 2θ 53.80, rel. 20
- 2θ 71.23, rel. 17
- 2θ 71.34, rel. 17
- 2θ 79.28, rel. 12

=====

Record 8
# PmZn4Pd7
Calculated XRD peak list, Cu Kα. Input: the PBE geometry in Alexandria.
Intensities are scaled so that the largest is 100.

Cell and atoms:
```
data_PmZn4Pd7
_symmetry_space_group_name_H-M 'P 1'
_symmetry_Int_Tables_number 1
_symmetry_space_group_name_Hall 'P 1'
_cell_length_a 6.066
_cell_length_b 6.066
_cell_length_c 9.059
_cell_angle_alpha 119.91
_cell_angle_beta 119.91
_cell_angle_gamma 48.31
loop_
_atom_site_label
_atom_site_type_symbol
_atom_site_fract_x
_atom_site_fract_y
_atom_site_fract_z
_atom_site_occupancy
Pm1 Pm 0.000 0.000 0.000 1
Zn1 Zn 0.285 0.285 0.671 1
Zn2 Zn 0.432 0.432 0.234 1
Zn3 Zn 0.568 0.568 0.766 1
Zn4 Zn 0.715 0.715 0.329 1
Pd1 Pd 0.055 0.055 0.369 1
Pd2 Pd 0.222 0.222 0.904 1
Pd3 Pd 0.339 0.339 0.430 1
Pd4 Pd 0.500 0.500 0.000 1
Pd5 Pd 0.661 0.661 0.570 1
Pd6 Pd 0.778 0.778 0.096 1
Pd7 Pd 0.945 0.945 0.631 1
```

Main lines, low angle first (2θ = 10–80°):
- 2θ 33.70, rel. 18
- 2θ 35.08, rel. 19
- 2θ 35.47, rel. 64
- 2θ 36.17, rel. 100
- 2θ 40.36, rel. 18
- 2θ 41.30, rel. 57
- 2θ 45.81, rel. 16
- 2θ 47.05, rel. 28
- 2θ 51.57, rel. 43
- 2θ 55.31, rel. 14

=====

Record 9
# CsLi2MgPt
Calculated XRD peak list, Cu Kα. Input: the PBE geometry in Alexandria.
Intensities are scaled so that the largest is 100.

Cell and atoms:
```
data_CsLi2MgPt
_symmetry_space_group_name_H-M 'P 1'
_symmetry_Int_Tables_number 1
_symmetry_space_group_name_Hall 'P 1'
_cell_length_a 5.225
_cell_length_b 5.225
_cell_length_c 5.222
_cell_angle_alpha 90.00
_cell_angle_beta 90.00
_cell_angle_gamma 90.00
loop_
_atom_site_label
_atom_site_type_symbol
_atom_site_fract_x
_atom_site_fract_y
_atom_site_fract_z
_atom_site_occupancy
Cs1 Cs 0.000 0.000 0.000 1
Li1 Li 0.000 0.500 0.500 1
Li2 Li 0.500 0.000 0.500 1
Mg1 Mg 0.500 0.500 0.000 1
Pt1 Pt 0.500 0.500 0.500 1
```

Main lines, low angle first (2θ = 10–80°):
- 2θ 16.97, rel. 7
- 2θ 24.09, rel. 100
- 2θ 34.33, rel. 27
- 2θ 38.53, rel. 4
- 2θ 42.38, rel. 45
- 2θ 49.34, rel. 19
- 2θ 55.63, rel. 20
- 2θ 61.48, rel. 7
- 2θ 67.03, rel. 24
- 2θ 77.52, rel. 12